# La3AsN
Computed powder diffraction line list, a wavelength of 1.5418 Å. Input: a DFT-relaxed cell (GGA-PBE, Alexandria).
No peak broadening, texture or thermal motion is included.

Structure:
a = 8.4585 Å, b = 8.4585 Å, c = 8.3679 Å
α = 96.27°, β = 96.27°, γ = 28.10°
Fractional coordinates of all 10 atoms:
La (0.0421, 0.0421, 0.3162)
La (0.1597, 0.1597, 0.9687)
La (0.3304, 0.3304, 0.3778)
La (0.6696, 0.6696, 0.6222)
La (0.8403, 0.8403, 0.0313)
La (0.9579, 0.9579, 0.6838)
As (0.3103, 0.3103, 0.7539)
As (0.6897, 0.6897, 0.2461)
N (0.0879, 0.0879, 0.5943)
N (0.9121, 0.9121, 0.4057)

Top 12 peaks for 2θ = 5–70°, in order of falling intensity:
2theta  d/Å  Rel. int.
29.98  2.981  100
33.66  2.663  52
32.95  2.718  39
28.90  3.090  36
32.30  2.772  33
44.10  2.054  31
27.21  3.277  26
31.53  2.837  24
22.32  3.983  23
28.59  3.122  21
30.66  2.916  21
25.39  3.508  21